[1]
Computed X-ray powder pattern
Compound: Li2Sn3O8
Radiation: Cu Kα X-rays
Structure: a GGA-PBE-relaxed structure
Kinematic intensities with the Lorentz-polarization factor, no thermal factor.

Most intense lines, 15° ≤ 2θ ≤ 90°, sorted by position:
| 2theta | I (rel.) | (hkl) |
| --- | --- | --- |
| 16.73 | 22 | 1 1 0 |
| 18.90 | 100 | 2 0 0 |
| 32.90 | 47 | 0 2 1 |
| 33.04 | 24 | 2 0 -2 |
| 34.73 | 17 | 2 2 -1 |
| 41.44 | 47 | 2 2 1 |
| 41.52 | 22 | 4 0 -2 |
| 56.52 | 20 | 4 2 1 |
| 57.72 | 17 | 2 2 -3 |
| 61.30 | 17 | 0 2 3 |

Structure:
Cell: 10.093 6.419 5.525 Å, 90.00 111.50 90.00°
Space group C2/m (No. 12)
One atom of each set of equivalent atoms:
1 Li 0.176 0.000 0.121
2 Sn 0.000 0.243 0.500
3 Sn 0.000 0.500 0.000
4 O 0.110 0.259 0.244
5 O 0.113 0.500 0.739
6 O 0.117 0.000 0.731


[2]
Computed X-ray powder pattern
Compound: Li2SnO6
Radiation: Cu Kα X-rays
Structure: a GGA-PBE-relaxed structure
Kinematic intensities with the Lorentz-polarization factor, no thermal factor.

Most intense lines, 15° ≤ 2θ ≤ 90°, sorted by position:
| 2theta | I (rel.) | (hkl) |
| --- | --- | --- |
| 18.07 | 100 | 0 1 1 |
| 18.22 | 46 | 0 0 2 |
| 25.38 | 20 | 1 0 -2 |
| 28.45 | 30 | 1 1 -1 |
| 34.00 | 42 | 1 1 -3 |
| 36.58 | 32 | 1 0 2 |
| 40.85 | 27 | 1 2 -2 |
| 47.26 | 17 | 1 1 3 |
| 48.99 | 23 | 1 2 -4 |
| 56.20 | 13 | 0 3 3 |

Structure:
Cell: 3.762 5.686 10.431 Å, 90.00 111.03 90.00°
Space group P2_1/c (No. 14)
One atom of each set of equivalent atoms:
1 Li 0.159 0.000 0.164
2 Sn 0.500 0.000 0.500
3 O 0.030 0.150 0.343
4 O 0.184 0.701 0.501
5 O 0.343 0.153 0.656


[3]
Computed X-ray powder pattern
Compound: Li2TaSn2O6
Radiation: Cu Kα X-rays
Structure: a GGA-PBE-relaxed structure
Kinematic intensities with the Lorentz-polarization factor, no thermal factor.

Most intense lines, 15° ≤ 2θ ≤ 90°, sorted by position:
| 2theta | I (rel.) | (hkl) |
| --- | --- | --- |
| 18.26 | 100 | 1 0 1 |
| 30.25 | 62 | 1 1 0 |
| 33.91 | 46 | 0 1 5 |
| 35.56 | 17 | 0 2 1 |
| 46.07 | 22 | 2 0 5 |
| 46.82 | 31 | 1 1 6 |
| 47.37 | 13 | 2 1 1 |
| 53.73 | 13 | 3 0 0 |
| 56.11 | 27 | 1 2 5 |
| 62.90 | 20 | 2 2 0 |

Structure:
Cell: 5.9093 5.9093 15.4356 Å, 90.00 90.00 120.00°
Space group R-3m (No. 166, hexagonal axes)
One atom of each set of equivalent atoms:
1 Li 0.0000 0.0000 0.0878
2 Ta 0.0000 0.0000 0.5000
3 Sn 0.0000 0.0000 0.3116
4 O 0.0344 0.5172 0.2520


[4]
Computed X-ray powder pattern
Compound: LiTl2SnO6
Radiation: Cu Kα X-rays
Structure: a GGA-PBE-relaxed structure
Kinematic intensities with the Lorentz-polarization factor, no thermal factor.

Most intense lines, 15° ≤ 2θ ≤ 90°, sorted by position:
| 2theta | I (rel.) | (hkl) |
| --- | --- | --- |
| 19.26 | 18 | 1 0 1 |
| 21.87 | 87 | 0 1 2 |
| 30.24 | 100 | 1 0 4 |
| 31.99 | 92 | 1 1 0 |
| 39.09 | 22 | 2 0 2 |
| 44.60 | 40 | 0 2 4 |
| 49.02 | 47 | 2 -1 6 |
| 51.37 | 18 | 1 2 2 |
| 55.93 | 40 | 3 -1 4 |
| 57.02 | 28 | 3 0 0 |

Structure:
Cell: 5.5953 5.5953 14.9147 Å, 90.00 90.00 120.00°
Space group R3 (No. 146, hexagonal axes)
One atom of each set of equivalent atoms:
1 Li 0.0000 0.0000 0.0000
2 Tl 0.0000 0.0000 0.2761
3 Tl 0.0000 0.0000 0.7822
4 Sn 0.0000 0.0000 0.4889
5 O 0.0440 0.3427 0.5569
6 O 0.0546 0.6856 0.0617